(1)
Theoretical powder diffractogram of Al2Zn2Cu3 for Cu Kα, 1.54184 Å, from a cell relaxed with GGA-PBE.

Main lines, by angle (2θ = 15–90°):
d/Å  two_theta  I (rel.)  (hkl)
3.384  26.34  20.2  0 0 2
2.694  33.25  32.8  1 1 -1
2.098  43.13  54.0  1 -1 0
2.082  43.46  51.3  1 1 -2
2.072  43.68  51.0  1 0 3
2.067  43.79  51.4  1 2 1
2.052  44.13  100.0  2 1 1
1.491  62.28  16.3  0 2 -2
1.209  79.23  15.9  0 3 1
1.186  81.10  15.9  3 1 4

Cell and atoms:
```
data_Al2Zn2Cu3
_chemical_formula_sum 'Al2 Zn2 Cu3'
_symmetry_space_group_name_H-M 'P -1'
_symmetry_Int_Tables_number 2
_cell_length_a 4.1014
_cell_length_b 4.1372
_cell_length_c 7.1107
_cell_angle_alpha 74.82
_cell_angle_beta 74.04
_cell_angle_gamma 61.23
loop_
_symmetry_equiv_pos_as_xyz
'x,y,z'
'-x,-y,-z'
loop_
_atom_site_label
_atom_site_type_symbol
_atom_site_fract_x
_atom_site_fract_y
_atom_site_fract_z
Al1 Al 0.1303 0.1333 0.1167
Zn1 Zn 0.3801 0.3839 0.3615
Cu1 Cu 0.0000 0.0000 0.5000
Cu2 Cu 0.2482 0.2431 0.7500
```

***

(2)
Theoretical powder diffractogram of CeThTl6 for Cu Kα, 1.54184 Å, from a cell relaxed with GGA-PBE.

Main lines, by angle (2θ = 15–90°):
d/Å  two_theta  I (rel.)  (hkl)
4.319  20.57  0.8  1 0 1
3.220  27.71  0.7  0 0 3
2.788  32.10  100.0  1 1 2
2.415  37.24  50.6  2 0 0
1.707  53.68  36.0  2 2 0
1.456  63.94  42.8  3 1 2
1.394  67.15  12.3  2 2 4
1.209  79.27  1.9  0 0 8
1.207  79.41  3.9  4 0 0
1.108  88.19  18.6  3 3 2

Cell and atoms:
```
data_CeThTl6
_chemical_formula_sum 'Ce1 Th1 Tl6'
_symmetry_space_group_name_H-M 'P 4/m m m'
_symmetry_Int_Tables_number 123
_symmetry_space_group_name_Hall '-P 4 2'
_cell_length_a 4.8268
_cell_length_b 4.8268
_cell_length_c 9.6684
_cell_angle_alpha 90.00
_cell_angle_beta 90.00
_cell_angle_gamma 90.00
loop_
_atom_site_label
_atom_site_type_symbol
_atom_site_fract_x
_atom_site_fract_y
_atom_site_fract_z
Ce1 Ce 0.0000 0.0000 0.0000
Th1 Th 0.0000 0.0000 0.5000
Tl1 Tl 0.0000 0.5000 0.2479
Tl2 Tl 0.5000 0.5000 0.0000
Tl3 Tl 0.5000 0.5000 0.5000
```

***

(3)
Theoretical powder diffractogram of AcSm6HoTm2 for Cu Kα, 1.54184 Å, from a cell relaxed with GGA-PBE.

Main lines, by angle (2θ = 15–90°):
d/Å  two_theta  I (rel.)  (hkl)
3.200  27.88  68.5  1 3 2
3.186  28.01  39.1  2 2 -2
2.979  29.99  70.3  3 1 -1
2.950  30.30  100.0  2 2 2
2.946  30.34  67.2  0 2 3
2.909  30.74  56.8  1 5 0
2.873  31.13  51.4  2 4 -1
2.806  31.90  34.7  1 5 -1
2.655  33.76  53.8  1 3 -3
2.589  34.64  26.0  2 2 -3

Cell and atoms:
```
data_AcSm6HoTm2
_chemical_formula_sum 'Ac4 Sm24 Ho4 Tm8'
_symmetry_space_group_name_H-M 'C 1 2/c 1'
_symmetry_Int_Tables_number 15
_cell_length_a 9.3572
_cell_length_b 15.3085
_cell_length_c 9.6172
_cell_angle_alpha 90.00
_cell_angle_beta 95.27
_cell_angle_gamma 90.00
loop_
_symmetry_equiv_pos_as_xyz
'x,y,z'
'-x,-y,-z'
'-x,y,-z+1/2'
'x,-y,z+1/2'
'x+1/2,y+1/2,z'
'-x+1/2,-y+1/2,-z'
'-x+1/2,y+1/2,-z+1/2'
'x+1/2,-y+1/2,z+1/2'
loop_
_atom_site_label
_atom_site_type_symbol
_atom_site_fract_x
_atom_site_fract_y
_atom_site_fract_z
Ac1 Ac 0.0000 0.0298 0.2500
Sm1 Sm 0.0609 0.1842 0.9453
Sm2 Sm 0.0989 0.3883 0.1171
Sm3 Sm 0.2202 0.2273 0.3178
Ho1 Ho 0.0000 0.4130 0.7500
Tm1 Tm 0.2389 0.4453 0.4511
```

***

(4)
Theoretical powder diffractogram of Ac3CdO3 for Cu Kα, 1.54184 Å, from a cell relaxed with GGA-PBE.

Main lines, by angle (2θ = 15–90°):
d/Å  two_theta  I (rel.)  (hkl)
3.642  24.44  11.3  1 1 0
3.340  26.69  100.0  2 -1 3
2.792  32.06  18.1  0 0 9
2.748  32.58  46.5  1 1 6
2.216  40.72  12.0  2 -1 9
2.103  43.02  30.1  3 0 0
1.815  50.27  20.5  2 -1 12
1.779  51.35  17.3  2 2 3
1.680  54.65  24.1  3 0 9
1.358  69.16  14.3  5 -1 3

Cell and atoms:
```
data_Ac3CdO3
_chemical_formula_sum 'Ac18 Cd6 O18'
_symmetry_space_group_name_H-M 'R -3'
_symmetry_Int_Tables_number 148
_symmetry_space_group_name_Hall '-R 3'
_cell_length_a 7.2841
_cell_length_b 7.2841
_cell_length_c 25.1243
_cell_angle_alpha 90.00
_cell_angle_beta 90.00
_cell_angle_gamma 120.00
loop_
_atom_site_label
_atom_site_type_symbol
_atom_site_fract_x
_atom_site_fract_y
_atom_site_fract_z
Ac1 Ac 0.0011 0.6612 0.3965
Cd1 Cd 0.0000 0.0000 0.1667
O1 O 0.0024 0.6717 0.6299
```

***

(5)
Theoretical powder diffractogram of Dy6GaCu2 for Cu Kα, 1.54184 Å, from a cell relaxed with GGA-PBE.

Main lines, by angle (2θ = 15–90°):
d/Å  two_theta  I (rel.)  (hkl)
3.424  26.03  20.7  2 0 2
3.166  28.19  19.4  0 1 3
3.090  28.89  18.7  0 3 1
2.972  30.07  23.2  3 1 0
2.801  31.95  93.9  2 2 2
2.620  34.22  100.0  1 3 2
2.579  34.79  48.4  2 3 1
2.340  38.46  26.9  4 0 0
2.232  40.42  18.9  0 2 4
1.544  59.93  26.6  5 3 2

Cell and atoms:
```
data_Dy6GaCu2
_chemical_formula_sum 'Dy24 Ga4 Cu8'
_symmetry_space_group_name_H-M 'I m m m'
_symmetry_Int_Tables_number 71
_symmetry_space_group_name_Hall '-I 2 2'
_cell_length_a 9.3615
_cell_length_b 9.7445
_cell_length_c 10.0418
_cell_angle_alpha 90.00
_cell_angle_beta 90.00
_cell_angle_gamma 90.00
loop_
_atom_site_label
_atom_site_type_symbol
_atom_site_fract_x
_atom_site_fract_y
_atom_site_fract_z
Dy1 Dy 0.0000 0.1918 0.2409
Dy2 Dy 0.1978 0.5000 0.1753
Dy3 Dy 0.2246 0.3195 0.5000
Ga1 Ga 0.0000 0.0000 0.0000
Ga2 Ga 0.0000 0.0000 0.5000
Cu1 Cu 0.0000 0.3460 0.0000
Cu2 Cu 0.0000 0.5000 0.3795
```